No. 1
The following is a simulated X-ray diffraction stick pattern of K2Tl6Au3. It was derived from the GGA-PBE geometry in Alexandria, using λ = 1.5418 Å (Cu Kα).
Lines closer than 0.1° are merged.

Most intense lines, 15° ≤ 2θ ≤ 90°, sorted by position:
Position (°2θ)  I_rel
20.0  381
21.1  134
26.8  442
35.0  260
35.7  1000
39.4  377
50.9  193
55.2  145
57.9  169
64.1  133

Atomic structure:
```
K2Tl6Au3
1.0
8.885 0.000 0.000
-4.443 7.695 0.000
0.000 0.000 5.027
K Tl Au
2 6 3
Direct
0.333 0.667 0.000
0.667 0.333 0.000
0.000 0.302 0.500
0.000 0.791 0.000
0.209 0.209 0.000
0.302 0.000 0.500
0.698 0.698 0.500
0.791 0.000 0.000
0.000 0.624 0.500
0.376 0.376 0.500
0.624 0.000 0.500
```

***

No. 2
The following is a simulated X-ray diffraction stick pattern of Y3Ho2Te8. It was derived from the GGA-PBE geometry in Alexandria, using λ = 1.5418 Å (Cu Kα).
Lines closer than 0.1° are merged.

Most intense lines, 15° ≤ 2θ ≤ 90°, sorted by position:
Position (°2θ)  I_rel
18.6  331
21.3  220
25.1  528
31.4  536
31.6  1000
37.5  525
37.8  290
41.6  339
41.7  663
53.0  252

Atomic structure:
```
Y3Ho2Te8
1.0
7.639 -4.343 0.000
7.639 4.343 0.000
-2.384 0.000 7.102
Y Ho Te
3 2 8
Direct
0.000 0.000 0.000
0.257 0.743 0.500
0.743 0.257 0.500
0.250 0.250 0.831
0.750 0.750 0.169
0.122 0.122 0.417
0.126 0.629 0.087
0.371 0.874 0.913
0.383 0.383 0.605
0.617 0.617 0.395
0.629 0.126 0.087
0.874 0.371 0.913
0.878 0.878 0.583
```

***

No. 3
The following is a simulated X-ray diffraction stick pattern of Na5Tl3In6. It was derived from the GGA-PBE geometry in Alexandria, using λ = 1.5418 Å (Cu Kα).
Lines closer than 0.1° are merged.

Most intense lines, 15° ≤ 2θ ≤ 90°, sorted by position:
Position (°2θ)  I_rel
18.9  336
19.6  557
29.3  430
29.6  1000
31.6  236
34.2  259
36.5  325
37.8  230
40.3  212
47.5  229

Atomic structure:
```
Na5Tl3In6
1.0
-2.463 5.668 7.737
2.463 -5.668 7.737
2.463 5.668 -7.737
Na Tl In
5 3 6
Direct
0.000 0.000 0.000
0.151 0.296 0.854
0.442 0.296 0.146
0.558 0.704 0.854
0.849 0.704 0.146
0.172 0.672 0.500
0.500 0.000 0.500
0.828 0.328 0.500
0.148 0.895 0.252
0.187 0.500 0.687
0.357 0.105 0.252
0.643 0.895 0.748
0.813 0.500 0.313
0.852 0.105 0.748
```

***

No. 4
The following is a simulated X-ray diffraction stick pattern of LaSi2Rh3. It was derived from the GGA-PBE geometry in Alexandria, using λ = 1.5418 Å (Cu Kα).
Lines closer than 0.1° are merged.

Most intense lines, 15° ≤ 2θ ≤ 90°, sorted by position:
Position (°2θ)  I_rel
30.8  1000
36.5  464
36.7  837
40.5  868
44.7  227
50.7  210
55.7  227
64.1  339
65.8  200
87.5  214

Atomic structure:
```
LaSi2Rh3
1.0
-3.602 4.922 2.827
3.602 -4.922 2.827
3.602 4.922 -2.827
La Si Rh
2 4 6
Direct
0.461 0.211 0.250
0.539 0.789 0.750
0.120 0.698 0.422
0.224 0.302 0.922
0.776 0.698 0.078
0.880 0.302 0.578
0.000 0.000 0.500
0.000 0.216 0.216
0.000 0.500 0.000
0.000 0.784 0.784
0.500 0.216 0.716
0.500 0.784 0.284
```

***

No. 5
The following is a simulated X-ray diffraction stick pattern of Hf4AlRh. It was derived from the GGA-PBE geometry in Alexandria, using λ = 1.5418 Å (Cu Kα).
Lines closer than 0.1° are merged.

Most intense lines, 15° ≤ 2θ ≤ 90°, sorted by position:
Position (°2θ)  I_rel
34.1  140
34.4  1000
39.2  140
42.6  246
43.8  147
59.5  134
61.3  192
69.4  147
79.0  126
87.2  104

Atomic structure:
```
Hf4AlRh
1.0
6.708 0.000 0.000
0.000 6.708 0.000
0.000 0.000 5.257
Hf Al Rh
8 2 2
Direct
0.157 0.343 0.250
0.157 0.657 0.750
0.343 0.157 0.750
0.343 0.843 0.250
0.657 0.157 0.250
0.657 0.843 0.750
0.843 0.343 0.750
0.843 0.657 0.250
0.000 0.000 0.500
0.500 0.500 0.000
0.000 0.000 0.000
0.500 0.500 0.500
```

***

No. 6
The following is a simulated X-ray diffraction stick pattern of Pm2Y2HoEr4. It was derived from the GGA-PBE geometry in Alexandria, using λ = 1.5418 Å (Cu Kα).
Lines closer than 0.1° are merged.

Most intense lines, 15° ≤ 2θ ≤ 90°, sorted by position:
Position (°2θ)  I_rel
29.0  400
31.3  502
32.0  1000
33.7  906
51.0  383
58.3  195
61.0  445
61.5  154
62.5  152
87.2  180

Atomic structure:
```
Pm2Y2HoEr4
1.0
9.308 -1.793 0.000
9.308 1.793 0.000
-4.140 0.000 8.584
Pm Y Ho Er
2 2 1 4
Direct
0.166 0.166 0.001
0.834 0.834 0.999
0.353 0.353 0.337
0.647 0.647 0.663
0.500 0.500 0.000
0.019 0.019 0.334
0.315 0.315 0.664
0.685 0.685 0.336
0.981 0.981 0.666
```

***

No. 7
The following is a simulated X-ray diffraction stick pattern of KBa8Au4. It was derived from the GGA-PBE geometry in Alexandria, using λ = 1.5418 Å (Cu Kα).
Lines closer than 0.1° are merged.

Most intense lines, 15° ≤ 2θ ≤ 90°, sorted by position:
Position (°2θ)  I_rel
22.2  432
23.8  838
24.2  357
25.0  738
28.1  488
29.7  587
33.8  1000
37.2  543
38.2  987
40.2  376

Atomic structure:
```
KBa8Au4
1.0
11.644 -2.414 0.000
11.644 2.414 0.000
-10.357 0.000 12.076
K Ba Au
1 8 4
Direct
0.000 0.000 0.000
0.041 0.041 0.736
0.292 0.292 0.930
0.331 0.331 0.654
0.366 0.366 0.408
0.633 0.633 0.591
0.668 0.668 0.345
0.707 0.707 0.069
0.959 0.959 0.263
0.144 0.144 0.461
0.333 0.333 0.172
0.666 0.666 0.828
0.855 0.855 0.538
```

***

No. 8
The following is a simulated X-ray diffraction stick pattern of Tb2Nd2TmSc. It was derived from the GGA-PBE geometry in Alexandria, using λ = 1.5418 Å (Cu Kα).
Lines closer than 0.1° are merged.

Most intense lines, 15° ≤ 2θ ≤ 90°, sorted by position:
Position (°2θ)  I_rel
18.3  49
25.9  94
31.9  1000
41.6  156
45.8  157
56.9  265
63.4  156
66.8  63
76.0  66
81.7  74

Atomic structure:
```
Tb2Nd2TmSc
1.0
6.885 0.000 0.000
0.000 5.598 0.000
0.000 0.000 9.701
Tb Nd Tm Sc
4 4 2 2
Direct
0.250 0.000 0.166
0.250 0.500 0.666
0.750 0.000 0.834
0.750 0.500 0.334
0.000 0.000 0.500
0.250 0.500 0.315
0.500 0.000 0.500
0.750 0.500 0.685
0.250 0.000 0.846
0.750 0.000 0.154
0.000 0.500 0.000
0.500 0.500 0.000
```